Starting from a structure optimized by DFT (PBE+U), the powder diffractogram of CsVC2O8 was simulated for copper Kα.
No peak broadening, texture or thermal motion is included.

Atomic structure:
```
data_CsVC2O8
_chemical_formula_sum 'Cs2 V2 C4 O16'
_space_group_name_H-M_alt 'C 1 2/m 1'
_space_group_IT_number 12
_cell_length_a 7.930
_cell_length_b 4.987
_cell_length_c 8.723
_cell_angle_alpha 90.00
_cell_angle_beta 105.74
_cell_angle_gamma 90.00
loop_
_space_group_symop_operation_xyz
'x,y,z'
'-x,-y,-z'
'-x,y,-z'
'x,-y,z'
'x+1/2,y+1/2,z'
'-x+1/2,-y+1/2,-z'
'-x+1/2,y+1/2,-z'
'x+1/2,-y+1/2,z'
loop_
_atom_site_label
_atom_site_fract_x
_atom_site_fract_y
_atom_site_fract_z
_atom_site_occupancy
Cs1 0.000 0.000 0.000 1
V1 0.000 0.500 0.500 1
C1 0.202 0.000 0.675 1
O1 0.092 0.224 0.657 1
O2 0.194 0.500 0.176 1
O3 0.201 0.500 0.437 1
```

Largest 10 diffraction maxima, by angle, 10° ≤ 2θ ≤ 80°:
d_spacing, 2θ (°), I (rel.)
4.198, 21.16, 25
3.981, 22.33, 25
3.816, 23.31, 18
3.535, 25.19, 100
3.305, 26.98, 44
2.503, 35.88, 27
2.334, 38.57, 21
2.180, 41.42, 23
2.144, 42.15, 15
2.100, 43.08, 14